# 1
Tl2InNiBi: calculated X-ray diffraction stick pattern (CuKα), based on a cell relaxed with PBE.
Kinematic intensities with the Lorentz-polarization factor, no thermal factor.

Cell and atoms:
```
Tl2InNiBi
1.0
5.1155 0.0000 0.0000
0.0000 5.1155 0.0000
0.0000 0.0000 5.2075
Tl In Ni Bi
2 1 1 1
Cartesian
0.0000 2.5577 0.0000
2.5577 0.0000 0.0000
0.0000 0.0000 2.6037
0.0000 0.0000 0.0000
2.5577 2.5577 2.6037
```

Peak list (10 most intense, 2θ = 10–80°, sorted by position)
24.39 deg, 3.649 Å, I 9.3
30.08 deg, 2.971 Å, I 100.0
34.44 deg, 2.604 Å, I 25.3
35.08 deg, 2.558 Å, I 48.2
49.99 deg, 1.825 Å, I 35.6
50.46 deg, 1.809 Å, I 17.3
59.02 deg, 1.565 Å, I 15.4
59.87 deg, 1.545 Å, I 29.5
62.53 deg, 1.485 Å, I 18.2
74.14 deg, 1.279 Å, I 5.6

=====

# 2
Np2InBi5: calculated X-ray diffraction stick pattern (CuKα), based on a cell relaxed with PBE.
Kinematic intensities with the Lorentz-polarization factor, no thermal factor.

Cell and atoms:
```
Np2InBi5
1.0
9.2273 0.0000 0.0000
0.0000 10.0071 0.0000
0.0000 0.0000 5.0030
Np In Bi
4 2 10
Cartesian
0.0000 2.3711 0.0000
0.0000 7.6360 0.0000
4.6137 2.6324 0.0000
4.6137 7.3747 0.0000
0.0000 5.0036 2.5015
4.6137 0.0000 2.5015
0.0000 0.0000 2.5015
2.1638 5.0036 0.0000
2.3068 2.5018 2.5015
2.3068 7.5054 2.5015
2.4498 0.0000 0.0000
4.6137 5.0036 2.5015
6.7775 0.0000 0.0000
6.9205 2.5018 2.5015
6.9205 7.5054 2.5015
7.0635 5.0036 0.0000
```

Peak list (10 most intense, 2θ = 10–80°, sorted by position)
31.88 deg, 2.807 Å, I 100.0
33.72 deg, 2.658 Å, I 2.0
35.90 deg, 2.502 Å, I 36.7
39.05 deg, 2.307 Å, I 14.3
51.67 deg, 1.769 Å, I 13.1
54.08 deg, 1.696 Å, I 22.4
62.01 deg, 1.497 Å, I 30.1
66.27 deg, 1.410 Å, I 11.8
66.62 deg, 1.404 Å, I 11.9
76.10 deg, 1.251 Å, I 4.2

=====

# 3
InBiO2: calculated X-ray diffraction stick pattern (CuKα), based on a cell relaxed with PBE.
Kinematic intensities with the Lorentz-polarization factor, no thermal factor.

Cell and atoms:
```
InBiO2
1.0
3.3700 0.0000 0.0000
-1.6850 2.9185 0.0000
0.0000 0.0000 6.9313
In Bi O
1 1 2
Cartesian
0.0000 0.0000 0.0000
0.0000 1.9457 3.4938
0.0000 1.9457 5.7410
1.6850 0.9728 1.0332
```

Peak list (10 most intense, 2θ = 10–80°, sorted by position)
25.71 deg, 3.466 Å, I 39.1
30.63 deg, 2.919 Å, I 25.4
33.31 deg, 2.690 Å, I 100.0
40.40 deg, 2.232 Å, I 24.0
50.37 deg, 1.812 Å, I 35.1
54.45 deg, 1.685 Å, I 19.7
61.16 deg, 1.515 Å, I 22.0
65.35 deg, 1.428 Å, I 14.6
77.34 deg, 1.234 Å, I 10.0
79.31 deg, 1.208 Å, I 10.5

=====

# 4
InBiO: calculated X-ray diffraction stick pattern (CuKα), based on a cell relaxed with PBE.
Kinematic intensities with the Lorentz-polarization factor, no thermal factor.

Cell and atoms:
```
InBiO
1.0
7.9061 0.0000 0.0000
0.0000 6.3594 0.0000
-0.8739 0.0000 6.5340
In Bi O
4 4 4
Cartesian
0.8576 0.6373 1.2137
0.4207 2.5424 4.4807
6.6115 3.8170 2.0533
6.1745 5.7221 5.3203
3.7079 0.3222 1.7787
3.2709 2.8575 5.0457
3.7612 3.5019 1.4883
3.3243 6.0372 4.7552
-0.5593 1.1238 5.7163
-0.1224 2.0559 2.4493
7.1545 4.3035 4.0847
7.5915 5.2356 0.8177
```

Peak list (10 most intense, 2θ = 10–80°, sorted by position)
11.29 deg, 7.836 Å, I 100.0
21.63 deg, 4.108 Å, I 67.2
22.69 deg, 3.918 Å, I 93.6
27.30 deg, 3.267 Å, I 99.2
28.17 deg, 3.168 Å, I 47.1
30.34 deg, 2.946 Å, I 44.6
31.29 deg, 2.859 Å, I 82.8
34.33 deg, 2.612 Å, I 55.5
38.13 deg, 2.360 Å, I 44.1
40.14 deg, 2.246 Å, I 46.8